Simulated powder X-ray diffraction pattern of Tl2GeI4 for λ = 1.5418 Å (Cu Kα), from a crystal structure in Alexandria, relaxed with GGA-PBE.

Most intense lines, 10 to 90 degrees two-theta, in order of rising 2θ:
24.73°, d = 3.601 Å, I = 90
24.89°, d = 3.578 Å, I = 69
27.39°, d = 3.256 Å, I = 69
28.08°, d = 3.178 Å, I = 86
32.06°, d = 2.792 Å, I = 100
34.82°, d = 2.577 Å, I = 59
35.92°, d = 2.500 Å, I = 52
39.82°, d = 2.264 Å, I = 41
44.92°, d = 2.018 Å, I = 36
52.01°, d = 1.758 Å, I = 34

Structural model:
Lattice parameters (Å, degrees): 15.2386 4.5275 9.5342 90.00 118.53 90.00
Space group C2/m (No. 12)
One atom of each set of equivalent atoms:
Tl 0.1897 0.0000 0.1685 (multiplicity 4)
Ge 0.0000 0.5000 0.5000 (multiplicity 2)
I 0.0912 0.5000 0.8597 (multiplicity 4)
I 0.1412 0.0000 0.5222 (multiplicity 4)